Entry 1:
For LiVTe2WO12, DFT lattice parameters and positions (PBE+U) gives the theoretical X-ray diffraction stick pattern in this record (CuKα).
Neutral-atom scattering factors, no anomalous dispersion.

Structural model:
```
data_LiVTe2WO12
_chemical_formula_sum 'Li1 V1 Te2 W1 O12'
_cell_length_a 5.138
_cell_length_b 5.286
_cell_length_c 7.389
_cell_angle_alpha 87.22
_cell_angle_beta 89.86
_cell_angle_gamma 89.96
_space_group_name_H-M_alt 'P 1'
_space_group_IT_number 1
loop_
_space_group_symop_operation_xyz
'x,y,z'
loop_
_atom_site_label
_atom_site_type_symbol
_atom_site_fract_x
_atom_site_fract_y
_atom_site_fract_z
Li1 Li 0.000 0.000 0.000
V1 V 0.992 0.440 0.222
Te1 Te 0.003 0.444 0.712
Te2 Te 0.493 0.941 0.208
W1 W 0.506 0.942 0.704
O1 O 0.107 0.434 0.458
O2 O 0.188 0.126 0.768
O3 O 0.197 0.741 0.147
O4 O 0.287 0.236 0.152
O5 O 0.312 0.637 0.761
O6 O 0.393 0.938 0.460
O7 O 0.620 0.943 0.957
O8 O 0.692 0.252 0.653
O9 O 0.708 0.638 0.260
O10 O 0.803 0.137 0.253
O11 O 0.814 0.754 0.654
O12 O 0.896 0.440 0.958
```

Top 10 peaks for 5° ≤ 2θ ≤ 70°, in order of rising 2θ:
| two_theta | intensity |
| --- | --- |
| 11.99 | 10 |
| 24.15 | 100 |
| 33.80 | 21 |
| 33.96 | 10 |
| 34.95 | 15 |
| 49.44 | 12 |
| 54.91 | 12 |
| 55.16 | 8 |
| 56.49 | 8 |
| 56.61 | 8 |

***

Entry 2:
For Sr3Co2TeO9, DFT lattice parameters and positions (PBE+U) gives the theoretical X-ray diffraction stick pattern in this record (CuKα).
Neutral-atom scattering factors, no anomalous dispersion.

Structural model:
```
data_Sr3Co2TeO9
_chemical_formula_sum 'Sr6 Co4 Te2 O18'
_cell_length_a 9.709
_cell_length_b 9.709
_cell_length_c 9.709
_cell_angle_alpha 146.27
_cell_angle_beta 132.07
_cell_angle_gamma 59.89
_space_group_name_H-M_alt 'P 1'
_space_group_IT_number 1
loop_
_space_group_symop_operation_xyz
'x,y,z'
loop_
_atom_site_label
_atom_site_type_symbol
_atom_site_fract_x
_atom_site_fract_y
_atom_site_fract_z
Sr1 Sr 0.082 0.337 0.745
Sr2 Sr 0.240 0.000 0.240
Sr3 Sr 0.407 0.663 0.745
Sr4 Sr 0.593 0.337 0.255
Sr5 Sr 0.760 0.000 0.760
Sr6 Sr 0.918 0.663 0.255
Co1 Co 0.000 0.500 0.500
Co2 Co 0.159 0.159 0.000
Co3 Co 0.500 0.500 0.000
Co4 Co 0.841 0.841 0.000
Te1 Te 0.332 0.832 0.500
Te2 Te 0.668 0.168 0.500
O1 O 0.080 0.338 0.257
O2 O 0.080 0.823 0.743
O3 O 0.088 0.833 0.255
O4 O 0.251 0.507 0.256
O5 O 0.251 0.995 0.744
O6 O 0.262 0.500 0.762
O7 O 0.414 0.156 0.743
O8 O 0.414 0.671 0.257
O9 O 0.422 0.167 0.255
O10 O 0.578 0.833 0.745
O11 O 0.586 0.329 0.743
O12 O 0.586 0.844 0.257
O13 O 0.738 0.500 0.238
O14 O 0.749 0.005 0.256
O15 O 0.749 0.493 0.744
O16 O 0.912 0.167 0.745
O17 O 0.920 0.177 0.257
O18 O 0.920 0.662 0.743
```

Top 10 peaks for 5° ≤ 2θ ≤ 70°, in order of rising 2θ:
| two_theta | intensity |
| --- | --- |
| 19.39 | 6 |
| 31.77 | 21 |
| 31.96 | 100 |
| 45.65 | 29 |
| 46.03 | 14 |
| 56.73 | 16 |
| 56.91 | 15 |
| 57.06 | 15 |
| 66.38 | 4 |
| 66.84 | 16 |

***

Entry 3:
For LiVSiO4, DFT lattice parameters and positions (PBE+U) gives the theoretical X-ray diffraction stick pattern in this record (CuKα).
Neutral-atom scattering factors, no anomalous dispersion.

Structural model:
```
data_LiVSiO4
_chemical_formula_sum 'Li3 V3 Si3 O12'
_cell_length_a 5.414
_cell_length_b 5.414
_cell_length_c 12.464
_cell_angle_alpha 90.00
_cell_angle_beta 90.00
_cell_angle_gamma 120.00
_space_group_name_H-M_alt 'P 1'
_space_group_IT_number 1
loop_
_space_group_symop_operation_xyz
'x,y,z'
loop_
_atom_site_label
_atom_site_type_symbol
_atom_site_fract_x
_atom_site_fract_y
_atom_site_fract_z
Li1 Li 0.000 0.000 0.000
Li2 Li 0.000 0.000 0.333
Li3 Li 0.000 0.000 0.667
V1 V 0.000 0.500 0.833
V2 V 0.500 0.000 0.500
V3 V 0.500 0.500 0.167
Si1 Si 0.000 0.500 0.333
Si2 Si 0.500 0.000 0.000
Si3 Si 0.500 0.500 0.667
O1 O 0.183 0.395 0.261
O2 O 0.183 0.789 0.406
O3 O 0.211 0.395 0.739
O4 O 0.211 0.817 0.927
O5 O 0.395 0.183 0.073
O6 O 0.395 0.211 0.594
O7 O 0.605 0.789 0.594
O8 O 0.605 0.817 0.073
O9 O 0.789 0.183 0.927
O10 O 0.789 0.605 0.739
O11 O 0.817 0.211 0.406
O12 O 0.817 0.605 0.261
```

Top 10 peaks for 5° ≤ 2θ ≤ 70°, in order of rising 2θ:
| two_theta | intensity |
| --- | --- |
| 18.93 | 9 |
| 23.75 | 100 |
| 33.09 | 4 |
| 34.56 | 5 |
| 38.40 | 6 |
| 44.33 | 23 |
| 53.78 | 11 |
| 59.45 | 12 |
| 60.06 | 4 |
| 69.44 | 4 |

***

Entry 4:
For CoH2O2, DFT lattice parameters and positions (PBE+U) gives the theoretical X-ray diffraction stick pattern in this record (CuKα).
Neutral-atom scattering factors, no anomalous dispersion.

Structural model:
```
data_CoH2O2
_chemical_formula_sum 'Co1 H2 O2'
_cell_length_a 3.196
_cell_length_b 3.209
_cell_length_c 4.779
_cell_angle_alpha 90.10
_cell_angle_beta 90.62
_cell_angle_gamma 119.53
_space_group_name_H-M_alt 'P 1'
_space_group_IT_number 1
loop_
_space_group_symop_operation_xyz
'x,y,z'
loop_
_atom_site_label
_atom_site_type_symbol
_atom_site_fract_x
_atom_site_fract_y
_atom_site_fract_z
Co1 Co 0.000 0.000 0.000
H1 H 0.330 0.675 0.577
H2 H 0.666 0.321 0.423
O1 O 0.332 0.672 0.780
O2 O 0.667 0.327 0.219
```

Top 10 peaks for 5° ≤ 2θ ≤ 70°, in order of rising 2θ:
| two_theta | intensity |
| --- | --- |
| 18.57 | 100 |
| 32.05 | 12 |
| 32.20 | 11 |
| 37.16 | 35 |
| 37.47 | 33 |
| 37.65 | 38 |
| 50.03 | 18 |
| 50.33 | 11 |
| 50.72 | 10 |
| 60.90 | 15 |

***

Entry 5:
For Li3MnP2O8, DFT lattice parameters and positions (PBE+U) gives the theoretical X-ray diffraction stick pattern in this record (CuKα).
Neutral-atom scattering factors, no anomalous dispersion.

Structural model:
```
data_Li3MnP2O8
_chemical_formula_sum 'Li6 Mn2 P4 O16'
_cell_length_a 4.790
_cell_length_b 5.895
_cell_length_c 10.231
_cell_angle_alpha 88.39
_cell_angle_beta 88.09
_cell_angle_gamma 89.36
_space_group_name_H-M_alt 'P 1'
_space_group_IT_number 1
loop_
_space_group_symop_operation_xyz
'x,y,z'
loop_
_atom_site_label
_atom_site_type_symbol
_atom_site_fract_x
_atom_site_fract_y
_atom_site_fract_z
Li1 Li 0.000 0.000 0.000
Li2 Li 0.000 0.500 0.000
Li3 Li 0.012 0.252 0.273
Li4 Li 0.400 0.742 0.564
Li5 Li 0.600 0.258 0.436
Li6 Li 0.988 0.748 0.727
Mn1 Mn 0.475 0.759 0.224
Mn2 Mn 0.525 0.241 0.776
P1 P 0.107 0.237 0.598
P2 P 0.429 0.247 0.086
P3 P 0.571 0.753 0.914
P4 P 0.893 0.763 0.402
O1 O 0.187 0.261 0.453
O2 O 0.217 0.751 0.383
O3 O 0.237 0.019 0.663
O4 O 0.250 0.435 0.676
O5 O 0.255 0.756 0.915
O6 O 0.285 0.447 0.157
O7 O 0.288 0.030 0.156
O8 O 0.301 0.250 0.945
O9 O 0.699 0.750 0.055
O10 O 0.712 0.970 0.844
O11 O 0.715 0.553 0.843
O12 O 0.745 0.244 0.085
O13 O 0.750 0.565 0.324
O14 O 0.763 0.981 0.337
O15 O 0.783 0.249 0.617
O16 O 0.813 0.739 0.547
```

Top 10 peaks for 5° ≤ 2θ ≤ 70°, in order of rising 2θ:
| two_theta | intensity |
| --- | --- |
| 17.16 | 68 |
| 17.58 | 67 |
| 18.53 | 61 |
| 20.22 | 77 |
| 20.75 | 60 |
| 22.71 | 49 |
| 25.92 | 75 |
| 30.34 | 100 |
| 34.87 | 49 |
| 35.66 | 50 |